# 1
The following is a simulated X-ray powder pattern of Li2V3SnO8. It was derived from a DFT-relaxed cell (PBE+U, the Materials Project), using a wavelength of 1.5418 Å.
No peak broadening, texture or thermal motion is included.

Peak list (6 most intense, 2θ = 5–70°, by intensity)
Position (°2θ)  I/Imax
34.8  100
20.9  76
34.4  66
29.5  60
18.1  50
17.9  45

Crystal structure
Cell: 6.051 6.051 10.566 Å, 107.72 107.72 59.88°
Atoms (fractional coordinates):
Li  0.182  0.687  0.824
Li  0.246  0.754  0.500
Li  0.687  0.182  0.324
Li  0.754  0.246  0.000
V  0.173  0.189  0.324
V  0.189  0.173  0.824
V  0.429  0.929  0.061
V  0.652  0.697  0.821
V  0.697  0.652  0.321
V  0.929  0.429  0.561
Sn  0.108  0.611  0.130
Sn  0.611  0.108  0.630
O  0.035  0.557  0.439
O  0.043  0.553  0.928
O  0.057  0.092  0.441
O  0.092  0.057  0.941
O  0.278  0.314  0.699
O  0.314  0.278  0.199
O  0.321  0.811  0.198
O  0.341  0.810  0.709
O  0.553  0.043  0.428
O  0.557  0.035  0.939
O  0.569  0.587  0.940
O  0.587  0.569  0.440
O  0.777  0.816  0.201
O  0.810  0.341  0.209
O  0.811  0.321  0.698
O  0.816  0.777  0.701

=====

# 2
The following is a simulated X-ray powder pattern of CrMoO4. It was derived from a DFT-relaxed cell (PBE+U, the Materials Project), using a wavelength of 1.5418 Å.
No peak broadening, texture or thermal motion is included.

Peak list (6 most intense, 2θ = 5–70°, by intensity)
Position (°2θ)  I/Imax
34.6  100
26.9  74
27.5  69
52.7  46
53.4  43
67.7  28

Crystal structure
Cell: 6.476 6.617 3.131 Å, 90.00 90.00 90.00°
Atoms (fractional coordinates):
Cr  0.000  0.000  0.000
Cr  0.500  0.500  0.000
Mo  0.000  0.500  0.500
Mo  0.500  0.000  0.500
O  0.000  0.304  0.000
O  0.000  0.696  0.000
O  0.200  0.000  0.500
O  0.300  0.500  0.500
O  0.500  0.196  0.000
O  0.500  0.804  0.000
O  0.700  0.500  0.500
O  0.800  0.000  0.500